# Mg2Si3
Computed powder X-ray diffraction pattern, Cu Kα, 1.54184 Å. Input: the PBE geometry in the Materials Project.

Cell and atoms:
Cell: 5.635 5.868 12.286 Å, 81.27 78.44 69.55°
Fractional positions:
Mg 0.000 0.000 0.000
Mg 0.026 0.895 0.257
Mg 0.080 0.374 0.293
Mg 0.141 0.021 0.520
Mg 0.233 0.186 0.746
Mg 0.429 0.120 0.073
Mg 0.669 0.945 0.508
Mg 0.819 0.745 0.751
Si 0.036 0.474 0.963
Si 0.102 0.532 0.540
Si 0.296 0.702 0.844
Si 0.403 0.621 0.651
Si 0.404 0.615 0.084
Si 0.412 0.560 0.374
Si 0.486 0.942 0.313
Si 0.644 0.320 0.221
Si 0.670 0.406 0.908
Si 0.731 0.235 0.707
Si 0.738 0.413 0.498
Si 0.776 0.681 0.133

Principal peaks in the range 2θ = 10–90°, sorted by position:
2theta	I/Imax
16.18	27
32.75	44
36.42	24
36.89	41
37.30	57
38.12	100
38.72	23
39.08	53
41.61	21
42.17	21



# Mg4Si7
Computed powder X-ray diffraction pattern, Cu Kα, 1.54184 Å. Input: the PBE geometry in the Materials Project.

Cell and atoms:
Cell: 14.933 14.933 6.830 Å, 94.58 94.58 15.48°
Fractional positions:
Mg 0.000 0.000 0.000
Mg 0.033 0.033 0.504
Mg 0.104 0.104 0.063
Mg 0.251 0.251 0.574
Mg 0.297 0.297 0.071
Mg 0.457 0.457 0.311
Mg 0.884 0.884 0.105
Mg 0.922 0.922 0.614
Si 0.147 0.147 0.517
Si 0.181 0.181 0.847
Si 0.190 0.190 0.236
Si 0.359 0.359 0.754
Si 0.363 0.363 0.395
Si 0.433 0.433 0.925
Si 0.489 0.489 0.691
Si 0.548 0.548 0.211
Si 0.567 0.567 0.819
Si 0.602 0.602 0.492
Si 0.729 0.729 0.869
Si 0.735 0.735 0.226
Si 0.809 0.809 0.769
Si 0.810 0.810 0.403

Principal peaks in the range 2θ = 10–90°, sorted by position:
2theta	I/Imax
23.91	19
32.80	20
34.44	30
34.85	21
36.30	34
36.96	100
38.59	46
40.43	28
40.68	30
45.09	64



# Mg3Si4
Computed powder X-ray diffraction pattern, Cu Kα, 1.54184 Å. Input: the PBE geometry in the Materials Project.

Cell and atoms:
Cell: 6.650 7.132 11.936 Å, 72.84 82.93 72.07°
Fractional positions:
Mg 0.000 0.000 0.000
Mg 0.005 0.032 0.289
Mg 0.022 0.506 0.222
Mg 0.227 0.361 0.829
Mg 0.278 0.376 0.540
Mg 0.338 0.143 0.102
Mg 0.363 0.897 0.794
Mg 0.453 0.746 0.383
Mg 0.620 0.951 0.538
Mg 0.637 0.429 0.885
Mg 0.811 0.334 0.484
Mg 0.920 0.781 0.826
Si 0.068 0.759 0.528
Si 0.174 0.017 0.574
Si 0.257 0.606 0.998
Si 0.287 0.158 0.370
Si 0.325 0.716 0.174
Si 0.499 0.577 0.652
Si 0.523 0.376 0.324
Si 0.590 0.708 0.019
Si 0.598 0.048 0.914
Si 0.619 0.176 0.697
Si 0.665 0.252 0.158
Si 0.732 0.886 0.199
Si 0.866 0.704 0.392
Si 0.873 0.569 0.681
Si 0.921 0.409 0.037
Si 0.984 0.190 0.719

Principal peaks in the range 2θ = 10–90°, sorted by position:
2theta	I/Imax
34.16	65
35.00	55
35.70	62
36.29	100
36.84	57
38.11	90
38.38	65
41.07	95
41.53	53
42.94	49



# Mg4Si7
Computed powder X-ray diffraction pattern, Cu Kα, 1.54184 Å. Input: the PBE geometry in the Materials Project.

Cell and atoms:
Cell: 4.303 6.745 14.066 Å, 77.71 89.88 89.22°
Fractional positions:
Mg 0.000 0.000 0.000
Mg 0.001 0.534 0.871
Mg 0.002 0.469 0.097
Mg 0.492 0.361 0.287
Mg 0.495 0.386 0.523
Mg 0.501 0.833 0.360
Mg 0.505 0.899 0.589
Mg 0.998 0.116 0.432
Si 0.000 0.147 0.622
Si 0.005 0.741 0.229
Si 0.009 0.719 0.502
Si 0.495 0.162 0.852
Si 0.498 0.108 0.144
Si 0.498 0.487 0.736
Si 0.498 0.799 0.796
Si 0.500 0.701 0.976
Si 0.504 0.743 0.145
Si 0.505 0.327 0.988
Si 0.987 0.517 0.384
Si 0.994 0.993 0.791
Si 0.996 0.096 0.236
Si 0.998 0.479 0.653

Principal peaks in the range 2θ = 10–90°, sorted by position:
2theta	I/Imax
21.64	26
33.54	26
33.79	47
34.02	90
34.51	30
38.09	49
38.36	23
38.88	48
42.00	100
43.95	27



# Mg2Si3
Computed powder X-ray diffraction pattern, Cu Kα, 1.54184 Å. Input: the PBE geometry in the Materials Project.

Cell and atoms:
Cell: 4.724 5.560 7.830 Å, 92.43 102.61 114.58°
Fractional positions:
Mg 0.135 0.295 0.483
Mg 0.237 0.084 0.868
Mg 0.763 0.916 0.132
Mg 0.865 0.705 0.517
Si 0.068 0.512 0.164
Si 0.358 0.954 0.341
Si 0.488 0.648 0.793
Si 0.512 0.352 0.207
Si 0.642 0.046 0.659
Si 0.932 0.488 0.836

Principal peaks in the range 2θ = 10–90°, sorted by position:
2theta	I/Imax
33.55	21
34.85	19
35.01	61
35.65	29
36.07	100
38.25	95
39.05	27
39.65	34
42.56	22
66.39	21



# Mg2Si3
Computed powder X-ray diffraction pattern, Cu Kα, 1.54184 Å. Input: the PBE geometry in the Materials Project.

Cell and atoms:
Cell: 3.769 6.159 17.408 Å, 83.29 83.92 72.81°
Fractional positions:
Mg 0.000 0.000 0.000
Mg 0.036 0.583 0.362
Mg 0.178 0.496 0.191
Mg 0.387 0.528 0.687
Mg 0.472 0.224 0.854
Mg 0.527 0.452 0.508
Mg 0.650 0.986 0.699
Mg 0.900 0.054 0.183
Si 0.064 0.265 0.612
Si 0.158 0.866 0.829
Si 0.274 0.888 0.570
Si 0.289 0.137 0.307
Si 0.329 0.429 0.988
Si 0.503 0.765 0.256
Si 0.558 0.805 0.113
Si 0.649 0.718 0.928
Si 0.729 0.174 0.389
Si 0.791 0.421 0.075
Si 0.815 0.585 0.803
Si 0.835 0.851 0.485

Principal peaks in the range 2θ = 10–90°, sorted by position:
2theta	I/Imax
33.07	42
33.17	63
34.28	48
34.61	53
34.72	69
39.31	82
39.66	71
42.94	47
42.98	47
48.29	100



# Mg2Si3
Computed powder X-ray diffraction pattern, Cu Kα, 1.54184 Å. Input: the PBE geometry in the Materials Project.

Cell and atoms:
Cell: 3.685 5.293 20.073 Å, 88.30 86.26 89.30°
Fractional positions:
Mg 0.000 0.000 0.000
Mg 0.056 0.324 0.796
Mg 0.169 0.459 0.638
Mg 0.305 0.495 0.352
Mg 0.389 0.776 0.146
Mg 0.535 0.784 0.856
Mg 0.747 0.712 0.496
Mg 0.831 0.998 0.289
Si 0.015 0.502 0.933
Si 0.131 0.940 0.709
Si 0.193 0.965 0.588
Si 0.289 0.966 0.400
Si 0.359 0.269 0.207
Si 0.446 0.262 0.086
Si 0.527 0.235 0.906
Si 0.628 0.662 0.728
Si 0.701 0.218 0.554
Si 0.776 0.223 0.433
Si 0.844 0.523 0.241
Si 0.952 0.520 0.056

Principal peaks in the range 2θ = 10–90°, sorted by position:
2theta	I/Imax
17.21	34
29.19	35
31.10	31
35.24	50
36.15	69
36.91	33
41.16	38
41.86	100
42.47	59
49.49	64



# Mg3Si4
Computed powder X-ray diffraction pattern, Cu Kα, 1.54184 Å. Input: the PBE geometry in the Materials Project.

Cell and atoms:
Cell: 5.965 6.496 7.947 Å, 108.89 106.45 93.96°
Fractional positions:
Mg 0.000 0.000 0.000
Mg 0.094 0.572 0.710
Mg 0.292 0.992 0.449
Mg 0.456 0.110 0.875
Mg 0.702 0.078 0.297
Mg 0.808 0.605 0.327
Si 0.121 0.328 0.363
Si 0.327 0.701 0.125
Si 0.372 0.363 0.189
Si 0.529 0.464 0.549
Si 0.571 0.731 0.926
Si 0.752 0.225 0.701
Si 0.894 0.536 0.995
Si 0.997 0.958 0.639

Principal peaks in the range 2θ = 10–90°, sorted by position:
2theta	I/Imax
31.32	81
34.15	67
36.04	100
37.98	35
39.37	23
41.79	46
44.98	35
46.86	25
47.69	25
48.14	31